Computed powder XRD pattern
Compound: Er8Co2Au
Radiation: CuKα
Structure: a DFT-relaxed cell (PBE, Alexandria)
Intensities are scaled so that the largest is 100.

Structure:
Cell: 7.5818 7.5818 5.4017 Å, 98.24 98.24 113.09°
Fractional coordinates of all 11 atoms:
Er (0.0000, 0.0000, 0.0000)
Er (0.0424, 0.3047, 0.6061)
Er (0.1362, 0.6124, 0.1913)
Er (0.3047, 0.0424, 0.6061)
Er (0.4442, 0.7060, 0.7772)
Er (0.6124, 0.1362, 0.1913)
Er (0.7060, 0.4442, 0.7772)
Er (0.7515, 0.7515, 0.3837)
Co (0.0687, 0.6812, 0.6921)
Co (0.6812, 0.0687, 0.6921)
Au (0.3758, 0.3758, 0.1716)

Top 8 peaks for 5 to 70 degrees two-theta, most intense first:
| d (Å) | 2theta | I (rel.) |
| --- | --- | --- |
| 2.635 | 34.02 | 100 |
| 2.704 | 33.12 | 76 |
| 2.853 | 31.35 | 60 |
| 2.489 | 36.08 | 51 |
| 2.268 | 39.74 | 26 |
| 3.228 | 27.64 | 25 |
| 2.259 | 39.91 | 24 |
| 1.672 | 54.92 | 24 |



Computed powder XRD pattern
Compound: Er5CoAu2
Radiation: CuKα
Structure: a DFT-relaxed cell (PBE, Alexandria)
Intensities are scaled so that the largest is 100.

Structure:
Cell: 8.4668 11.5926 4.0069 Å, 90.00 90.00 90.00°
Fractional coordinates of all 16 atoms:
Er (0.0000, 0.0000, 0.0000)
Er (0.1513, 0.3054, 0.0000)
Er (0.1745, 0.5788, 0.5000)
Er (0.3255, 0.0788, 0.5000)
Er (0.3487, 0.8054, 0.0000)
Er (0.5000, 0.5000, 0.0000)
Er (0.6513, 0.1946, 0.0000)
Er (0.6745, 0.9212, 0.5000)
Er (0.8255, 0.4212, 0.5000)
Er (0.8487, 0.6946, 0.0000)
Co (0.0000, 0.5000, 0.0000)
Co (0.5000, 0.0000, 0.0000)
Au (0.0629, 0.8240, 0.5000)
Au (0.4371, 0.3240, 0.5000)
Au (0.5629, 0.6760, 0.5000)
Au (0.9371, 0.1760, 0.5000)

Top 8 peaks for 5 to 70 degrees two-theta, most intense first:
| d (Å) | 2theta | I (rel.) |
| --- | --- | --- |
| 2.823 | 31.70 | 100 |
| 2.742 | 32.66 | 80 |
| 2.643 | 33.92 | 76 |
| 2.601 | 34.49 | 60 |
| 2.003 | 45.26 | 34 |
| 1.618 | 56.92 | 33 |
| 3.071 | 29.07 | 24 |
| 1.506 | 61.58 | 19 |